Record 1
Calculated X-ray diffraction stick pattern
Compound: Cs2IBrCl6
Radiation: Cu Kα, 1.54184 Å
Structure: DFT lattice parameters and positions (PBE)
Kinematic intensities with the Lorentz-polarization factor, no thermal factor.

Most intense lines, 2θ from 5° to 70°, in order of rising 2θ:
d/Å  two_theta  Rel. int.
6.566  13.49  7
4.021  22.11  100
3.283  27.16  18
2.843  31.47  59
2.321  38.79  44
2.010  45.10  40
1.798  50.78  24
1.641  56.03  13
1.520  60.97  26
1.421  65.69  6

Cell and atoms:
```
data_Cs2IBrCl6
_cell_length_a 11.372
_cell_length_b 11.372
_cell_length_c 11.372
_cell_angle_alpha 90.00
_cell_angle_beta 90.00
_cell_angle_gamma 90.00
_symmetry_space_group_name_H-M 'F m -3 m'
_symmetry_Int_Tables_number 225
_symmetry_space_group_name_Hall '-F 4 2 3'
loop_
_atom_site_label
_atom_site_fract_x
_atom_site_fract_y
_atom_site_fract_z
_atom_site_occupancy
Cs1 0.250 0.250 0.250 1
I1 0.000 0.000 0.000 1
Br1 0.000 0.000 0.500 1
Cl1 0.000 0.000 0.228 1
```

=====

Record 2
Calculated X-ray diffraction stick pattern
Compound: Sr3CaAg4
Radiation: Cu Kα, 1.54184 Å
Structure: DFT lattice parameters and positions (PBE)
Kinematic intensities with the Lorentz-polarization factor, no thermal factor.

Most intense lines, 2θ from 5° to 70°, in order of rising 2θ:
d/Å  two_theta  Rel. int.
3.260  27.36  19
3.112  28.68  52
3.021  29.57  34
2.931  30.49  33
2.575  34.84  30
2.518  35.66  100
2.458  36.55  42
1.884  48.32  18
1.574  58.64  17
1.431  65.21  18

Cell and atoms:
```
data_Sr3CaAg4
_cell_length_a 6.296
_cell_length_b 4.917
_cell_length_c 24.122
_cell_angle_alpha 90.00
_cell_angle_beta 90.01
_cell_angle_gamma 90.00
_symmetry_space_group_name_H-M 'P 1 m 1'
_symmetry_Int_Tables_number 6
loop_
_symmetry_equiv_pos_as_xyz
'x,y,z'
'x,-y,z'
loop_
_atom_site_label
_atom_site_fract_x
_atom_site_fract_y
_atom_site_fract_z
_atom_site_occupancy
Sr1 0.000 0.000 0.000 1
Sr2 0.001 0.000 0.662 1
Sr3 0.235 0.000 0.498 1
Sr4 0.263 0.500 0.879 1
Sr5 0.472 0.000 0.330 1
Sr6 0.496 0.500 0.710 1
Sr7 0.734 0.500 0.209 1
Sr8 0.762 0.000 0.831 1
Sr9 0.972 0.500 0.378 1
Ca1 0.226 0.000 0.163 1
Ca2 0.508 0.500 0.046 1
Ca3 0.725 0.500 0.544 1
Ag1 0.001 0.500 0.094 1
Ag2 0.006 0.500 0.759 1
Ag3 0.227 0.500 0.256 1
Ag4 0.242 0.500 0.590 1
Ag5 0.254 0.000 0.783 1
Ag6 0.485 0.500 0.428 1
Ag7 0.501 0.000 0.613 1
Ag8 0.507 0.000 0.953 1
Ag9 0.728 0.000 0.453 1
Ag10 0.733 0.000 0.115 1
Ag11 0.750 0.500 0.928 1
Ag12 0.984 0.000 0.280 1
```

=====

Record 3
Calculated X-ray diffraction stick pattern
Compound: NaLi2NbF6
Radiation: Cu Kα, 1.54184 Å
Structure: DFT lattice parameters and positions (PBE)
Kinematic intensities with the Lorentz-polarization factor, no thermal factor.

Most intense lines, 2θ from 5° to 70°, in order of rising 2θ:
d/Å  two_theta  Rel. int.
4.920  18.03  47
4.261  20.85  100
3.013  29.65  29
2.569  34.92  22
2.130  42.43  39
1.905  47.73  39
1.739  52.62  12
1.640  56.08  9
1.506  61.56  22
1.420  65.75  17

Cell and atoms:
```
data_NaLi2NbF6
_cell_length_a 8.521
_cell_length_b 8.521
_cell_length_c 8.521
_cell_angle_alpha 90.00
_cell_angle_beta 90.00
_cell_angle_gamma 90.00
_symmetry_space_group_name_H-M 'F m -3 m'
_symmetry_Int_Tables_number 225
_symmetry_space_group_name_Hall '-F 4 2 3'
loop_
_atom_site_label
_atom_site_fract_x
_atom_site_fract_y
_atom_site_fract_z
_atom_site_occupancy
Na1 0.000 0.000 0.000 1
Li1 0.250 0.250 0.250 1
Nb1 0.000 0.000 0.500 1
F1 0.000 0.000 0.256 1
```

=====

Record 4
Calculated X-ray diffraction stick pattern
Compound: HoGaAu
Radiation: Cu Kα, 1.54184 Å
Structure: DFT lattice parameters and positions (PBE)
Kinematic intensities with the Lorentz-polarization factor, no thermal factor.

Most intense lines, 2θ from 5° to 70°, in order of rising 2θ:
d/Å  two_theta  Rel. int.
5.198  17.06  11
3.807  23.36  20
2.740  32.68  37
2.650  33.82  29
2.639  33.98  27
2.613  34.32  63
2.599  34.51  18
2.427  37.04  13
2.255  39.98  100
1.718  53.32  16

Cell and atoms:
```
data_HoGaAu
_cell_length_a 10.444
_cell_length_b 4.513
_cell_length_c 7.092
_cell_angle_alpha 90.00
_cell_angle_beta 131.64
_cell_angle_gamma 90.00
_symmetry_space_group_name_H-M 'C 1 2/m 1'
_symmetry_Int_Tables_number 12
loop_
_symmetry_equiv_pos_as_xyz
'x,y,z'
'-x,-y,-z'
'-x,y,-z'
'x,-y,z'
'x+1/2,y+1/2,z'
'-x+1/2,-y+1/2,-z'
'-x+1/2,y+1/2,-z'
'x+1/2,-y+1/2,z'
loop_
_atom_site_label
_atom_site_fract_x
_atom_site_fract_y
_atom_site_fract_z
_atom_site_occupancy
Ho1 0.037 0.000 0.296 1
Ga1 0.159 0.500 0.109 1
Au1 0.177 0.500 0.719 1
```